[1]
# K2Ag2SnCl7
Theoretical powder diffractogram, Cu Kα X-rays. Input: the GGA-PBE geometry in Alexandria.
Lines closer than 0.1° are merged.

Top 6 peaks for 2θ from 5° to 70°, in order of falling intensity:
2θ/deg	d_spacing	I/Imax
6.96	12.709	1000
34.82	2.576	615
24.60	3.619	592
24.43	3.644	519
43.10	2.099	275
43.41	2.085	252

Crystal structure
```
K2Ag2SnCl7
1.0
3.6441 -3.6433 0.0000
3.6441 3.6433 0.0000
-3.6347 0.0000 12.7094
K Ag Sn Cl
2 2 1 7
direct
0.1828 0.1828 0.3574 K
0.8172 0.8172 0.6426 K
0.3994 0.3994 0.7994 Ag
0.6006 0.6006 0.2006 Ag
0.0000 0.0000 0.0000 Sn
0.0812 0.5827 0.1616 Cl
0.3027 0.3027 0.5996 Cl
0.4173 0.9188 0.8384 Cl
0.5000 0.5000 0.0000 Cl
0.5827 0.0812 0.1616 Cl
0.6973 0.6973 0.4004 Cl
0.9188 0.4173 0.8384 Cl
```

=====

[2]
# KTbAg2Cl8
Theoretical powder diffractogram, Cu Kα X-rays. Input: the GGA-PBE geometry in Alexandria.
Lines closer than 0.1° are merged.

Top 6 peaks for 2θ from 5° to 70°, in order of falling intensity:
2θ/deg	d_spacing	I/Imax
22.35	3.978	1000
44.23	2.048	455
36.52	2.460	383
42.23	2.140	271
37.65	2.389	224
14.49	6.114	170

Crystal structure
```
KTbAg2Cl8
1.0
-3.3782 3.3782 7.1813
3.3782 -3.3782 7.1813
3.3782 3.3782 -7.1813
K Tb Ag Cl
1 1 2 8
direct
0.0000 0.0000 0.0000 K
0.2500 0.7500 0.5000 Tb
0.5000 0.5000 0.0000 Ag
0.7500 0.2500 0.5000 Ag
0.2708 0.7036 0.1545 Cl
0.2964 0.4509 0.5672 Cl
0.3955 0.0118 0.0307 Cl
0.5491 0.1163 0.8455 Cl
0.6351 0.6045 0.6162 Cl
0.8837 0.7292 0.4328 Cl
0.9811 0.3649 0.9693 Cl
0.9882 0.0189 0.3838 Cl
```

=====

[3]
# K2TcAgCl6
Theoretical powder diffractogram, Cu Kα X-rays. Input: the GGA-PBE geometry in Alexandria.
Lines closer than 0.1° are merged.

Top 6 peaks for 2θ from 5° to 70°, in order of falling intensity:
2θ/deg	d_spacing	I/Imax
15.16	5.845	1000
33.45	2.679	652
25.14	3.542	592
51.61	1.771	437
39.08	2.305	396
14.62	6.058	384

Crystal structure
```
K2TcAgCl6
1.0
3.5418 2.0448 12.8325
-3.5418 2.0448 12.8325
0.0000 -4.0897 12.8325
K Tc Ag Cl
4 2 2 12
direct
0.1336 0.1336 0.1336 K
0.3033 0.3033 0.3033 K
0.6967 0.6967 0.6967 K
0.8664 0.8664 0.8664 K
0.0000 0.0000 0.0000 Tc
0.5000 0.5000 0.5000 Tc
0.4135 0.4135 0.4135 Ag
0.5865 0.5865 0.5865 Ag
0.1416 0.6243 0.6243 Cl
0.1970 0.1970 0.7156 Cl
0.1970 0.7156 0.1970 Cl
0.2844 0.8030 0.8030 Cl
0.3757 0.3757 0.8584 Cl
0.3757 0.8584 0.3757 Cl
0.6243 0.1416 0.6243 Cl
0.6243 0.6243 0.1416 Cl
0.7156 0.1970 0.1970 Cl
0.8030 0.2844 0.8030 Cl
0.8030 0.8030 0.2844 Cl
0.8584 0.3757 0.3757 Cl
```

=====

[4]
# KTlAg2Cl4
Theoretical powder diffractogram, Cu Kα X-rays. Input: the GGA-PBE geometry in Alexandria.
Lines closer than 0.1° are merged.

Top 6 peaks for 2θ from 5° to 70°, in order of falling intensity:
2θ/deg	d_spacing	I/Imax
27.49	3.244	1000
15.92	5.566	650
33.06	2.710	620
43.52	2.080	524
23.21	3.832	458
28.27	3.157	352

Crystal structure
```
KTlAg2Cl4
1.0
7.6613 0.0000 0.0000
0.0000 7.6667 0.0000
0.0000 0.0000 8.0999
K Tl Ag Cl
2 2 4 8
direct
0.0000 0.0000 0.0000 K
0.5000 0.5000 0.5000 K
0.0000 0.0000 0.5000 Tl
0.5000 0.5000 0.0000 Tl
0.0000 0.5000 0.3084 Ag
0.0000 0.5000 0.6916 Ag
0.5000 0.0000 0.1916 Ag
0.5000 0.0000 0.8084 Ag
0.2251 0.2828 0.7123 Cl
0.2251 0.7172 0.2877 Cl
0.2749 0.2172 0.2123 Cl
0.2749 0.7828 0.7877 Cl
0.7251 0.2172 0.7877 Cl
0.7251 0.7828 0.2123 Cl
0.7749 0.2828 0.2877 Cl
0.7749 0.7172 0.7123 Cl
```

=====

[5]
# KTmAgCl5
Theoretical powder diffractogram, Cu Kα X-rays. Input: the GGA-PBE geometry in Alexandria.
Lines closer than 0.1° are merged.

Top 6 peaks for 2θ from 5° to 70°, in order of falling intensity:
2θ/deg	d_spacing	I/Imax
19.54	4.543	1000
13.09	6.763	676
23.90	3.723	661
24.21	3.676	616
22.03	4.036	606
40.00	2.254	364

Crystal structure
```
KTmAgCl5
1.0
4.3377 -6.1939 0.0000
4.3377 6.1939 0.0000
-3.6714 0.0000 9.3163
K Tm Ag Cl
2 2 2 10
direct
0.1556 0.8444 0.7500 K
0.8444 0.1556 0.2500 K
0.5000 0.5000 0.0000 Tm
0.5000 0.5000 0.5000 Tm
0.1896 0.8104 0.2500 Ag
0.8104 0.1896 0.7500 Ag
0.1379 0.2477 0.9389 Cl
0.1985 0.5835 0.4081 Cl
0.2477 0.1379 0.4389 Cl
0.4165 0.8015 0.0919 Cl
0.4297 0.5703 0.7500 Cl
0.5703 0.4297 0.2500 Cl
0.5835 0.1985 0.9081 Cl
0.7523 0.8621 0.5611 Cl
0.8015 0.4165 0.5919 Cl
0.8621 0.7523 0.0611 Cl
```

=====

[6]
# K3Zn2AgCl9
Theoretical powder diffractogram, Cu Kα X-rays. Input: the GGA-PBE geometry in Alexandria.
Lines closer than 0.1° are merged.

Top 6 peaks for 2θ from 5° to 70°, in order of falling intensity:
2θ/deg	d_spacing	I/Imax
35.71	2.515	1000
25.04	3.556	771
17.64	5.029	736
51.29	1.781	314
51.49	1.775	312
44.15	2.051	245

Crystal structure
```
K3Zn2AgCl9
1.0
7.0995 0.0000 0.0000
-3.5498 6.1484 0.0000
0.0000 0.0000 8.7423
K Zn Ag Cl
3 2 1 9
direct
0.0000 0.0000 0.0000 K
0.3333 0.6667 0.6659 K
0.6667 0.3333 0.3342 K
0.3333 0.6667 0.1626 Zn
0.6667 0.3333 0.8374 Zn
0.0000 0.0000 0.5000 Ag
0.0000 0.5000 0.0000 Cl
0.1718 0.3437 0.3264 Cl
0.1718 0.8282 0.3264 Cl
0.3437 0.1718 0.6736 Cl
0.5000 0.0000 0.0000 Cl
0.5000 0.5000 0.0000 Cl
0.6563 0.8282 0.3264 Cl
0.8282 0.1718 0.6736 Cl
0.8282 0.6563 0.6736 Cl
```

=====

[7]
# K3ZnAg3Cl8
Theoretical powder diffractogram, Cu Kα X-rays. Input: the GGA-PBE geometry in Alexandria.
Lines closer than 0.1° are merged.

Top 6 peaks for 2θ from 5° to 70°, in order of falling intensity:
2θ/deg	d_spacing	I/Imax
30.63	2.918	1000
12.53	7.062	938
29.79	2.999	550
42.62	2.121	477
43.90	2.062	344
39.43	2.285	185

Crystal structure
```
K3ZnAg3Cl8
1.0
7.2051 -4.0251 0.0000
7.2051 4.0251 0.0000
-4.6991 0.0000 7.0619
K Zn Ag Cl
3 1 3 8
direct
0.0000 0.0000 0.0000 K
0.0000 0.5000 0.0000 K
0.5000 0.0000 0.0000 K
0.0000 0.0000 0.5000 Zn
0.0000 0.5000 0.5000 Ag
0.5000 0.0000 0.5000 Ag
0.5000 0.5000 0.5000 Ag
0.2142 0.2142 0.6923 Cl
0.2219 0.7691 0.6997 Cl
0.2309 0.7781 0.3003 Cl
0.2583 0.2583 0.2892 Cl
0.7417 0.7417 0.7108 Cl
0.7691 0.2219 0.6997 Cl
0.7781 0.2309 0.3003 Cl
0.7858 0.7858 0.3077 Cl
```

=====

[8]
# LaAg2Cl8
Theoretical powder diffractogram, Cu Kα X-rays. Input: the GGA-PBE geometry in Alexandria.
Lines closer than 0.1° are merged.

Top 6 peaks for 2θ from 5° to 70°, in order of falling intensity:
2θ/deg	d_spacing	I/Imax
23.05	3.859	1000
38.94	2.313	555
14.55	6.086	453
43.44	2.083	415
29.43	3.035	366
36.31	2.474	266

Crystal structure
```
LaAg2Cl8
1.0
-3.4993 3.4993 6.1648
3.4993 -3.4993 6.1648
3.4993 3.4993 -6.1648
La Ag Cl
1 2 8
direct
0.0000 0.0000 0.0000 La
0.2500 0.7500 0.5000 Ag
0.7500 0.2500 0.5000 Ag
0.0596 0.5651 0.8542 Cl
0.2053 0.0596 0.4944 Cl
0.2891 0.4349 0.4944 Cl
0.4349 0.9404 0.1458 Cl
0.5651 0.7109 0.5056 Cl
0.7109 0.2053 0.1458 Cl
0.7947 0.2891 0.8542 Cl
0.9404 0.7947 0.5056 Cl
```

=====

[9]
# Na2LaAgCl6
Theoretical powder diffractogram, Cu Kα X-rays. Input: the GGA-PBE geometry in Alexandria.
Lines closer than 0.1° are merged.

Top 6 peaks for 2θ from 5° to 70°, in order of falling intensity:
2θ/deg	d_spacing	I/Imax
17.13	5.177	1000
23.57	3.775	550
37.87	2.376	329
37.98	2.369	329
25.04	3.557	287
44.06	2.055	262

Crystal structure
```
Na2LaAgCl6
1.0
7.1058 0.0000 0.0000
-3.5360 6.1672 0.0000
-3.5299 -2.0479 6.3686
Na La Ag Cl
2 1 1 6
direct
0.0000 0.0000 0.0000 Na
0.0094 0.5048 0.5135 Na
0.4030 0.2011 0.6036 La
0.4218 0.7104 0.1301 Ag
0.2177 0.8054 0.3149 Cl
0.2203 0.9139 0.8144 Cl
0.5093 0.5949 0.8161 Cl
0.5101 0.4104 0.3152 Cl
0.8995 0.3047 0.8135 Cl
0.9067 0.0998 0.3160 Cl
```

=====

[10]
# LaTl2AgCl6
Theoretical powder diffractogram, Cu Kα X-rays. Input: the GGA-PBE geometry in Alexandria.
Lines closer than 0.1° are merged.

Top 6 peaks for 2θ from 5° to 70°, in order of falling intensity:
2θ/deg	d_spacing	I/Imax
23.70	3.755	1000
23.40	3.801	973
34.05	2.633	528
33.05	2.710	524
23.82	3.736	485
22.58	3.938	389

Crystal structure
```
LaTl2AgCl6
1.0
7.4725 0.0000 0.0000
0.0000 7.8767 0.0000
-7.2936 0.0000 10.5345
La Tl Ag Cl
2 4 2 12
direct
0.0000 0.0000 0.0000 La
0.0000 0.5000 0.5000 La
0.2759 0.0712 0.7525 Tl
0.2759 0.4288 0.2525 Tl
0.7241 0.5712 0.7475 Tl
0.7241 0.9288 0.2475 Tl
0.5000 0.0000 0.5000 Ag
0.5000 0.5000 0.0000 Ag
0.1527 0.0274 0.2558 Cl
0.1527 0.4726 0.7558 Cl
0.2438 0.7046 0.0515 Cl
0.2438 0.7954 0.5515 Cl
0.3535 0.1938 0.0502 Cl
0.3535 0.3062 0.5502 Cl
0.6465 0.6938 0.4498 Cl
0.6465 0.8062 0.9498 Cl
0.7562 0.2046 0.4485 Cl
0.7562 0.2954 0.9485 Cl
0.8473 0.5274 0.2442 Cl
0.8473 0.9726 0.7442 Cl
```

=====

[11]
# Li2Ag5Cl12
Theoretical powder diffractogram, Cu Kα X-rays. Input: the GGA-PBE geometry in Alexandria.
Lines closer than 0.1° are merged.

Top 6 peaks for 2θ from 5° to 70°, in order of falling intensity:
2θ/deg	d_spacing	I/Imax
6.57	13.450	1000
14.57	6.081	931
13.82	6.409	617
35.54	2.526	449
36.07	2.490	308
14.90	5.947	175

Crystal structure
```
Li2Ag5Cl12
1.0
6.4219 -3.7096 0.0000
6.4219 3.7096 0.0000
-1.8526 0.0000 13.4501
Li Ag Cl
2 5 12
direct
0.2494 0.7506 0.0000 Li
0.7506 0.2494 0.0000 Li
0.0000 0.0000 0.5000 Ag
0.0707 0.0707 0.7621 Ag
0.2541 0.2541 0.0140 Ag
0.7459 0.7459 0.9860 Ag
0.9293 0.9293 0.2379 Ag
0.0995 0.6231 0.1223 Cl
0.1049 0.1049 0.1061 Cl
0.2083 0.7555 0.3682 Cl
0.2445 0.7917 0.6318 Cl
0.3769 0.9005 0.8777 Cl
0.3920 0.3920 0.9113 Cl
0.6080 0.6080 0.0887 Cl
0.6231 0.0995 0.1223 Cl
0.7555 0.2083 0.3682 Cl
0.7917 0.2445 0.6318 Cl
0.8951 0.8951 0.8939 Cl
0.9005 0.3769 0.8777 Cl
```

=====

[12]
# Li3Ag3Cl8
Theoretical powder diffractogram, Cu Kα X-rays. Input: the GGA-PBE geometry in Alexandria.
Lines closer than 0.1° are merged.

Top 6 peaks for 2θ from 5° to 70°, in order of falling intensity:
2θ/deg	d_spacing	I/Imax
23.45	3.794	1000
27.44	3.250	952
14.06	6.301	613
47.96	1.897	465
47.39	1.918	403
27.21	3.277	332

Crystal structure
```
Li3Ag3Cl8
1.0
3.7937 2.1903 6.3010
-3.7937 2.1903 6.3010
0.0000 -4.3806 6.3010
Li Ag Cl
3 3 8
direct
0.0000 0.5000 0.5000 Li
0.5000 0.0000 0.5000 Li
0.5000 0.5000 0.0000 Li
0.1360 0.1360 0.1360 Ag
0.5000 0.5000 0.5000 Ag
0.8640 0.8640 0.8640 Ag
0.2601 0.2601 0.7275 Cl
0.2601 0.7275 0.2601 Cl
0.2686 0.2686 0.2686 Cl
0.2725 0.7399 0.7399 Cl
0.7275 0.2601 0.2601 Cl
0.7314 0.7314 0.7314 Cl
0.7399 0.2725 0.7399 Cl
0.7399 0.7399 0.2725 Cl
```